# 1
This entry pairs a crystal structure of AsPRhAu2 with its computed X-ray diffraction stick pattern. Radiation: copper Kα. Structure: a cell relaxed with GGA-PBE.
Neutral-atom scattering factors, no anomalous dispersion.

Cell and atoms:
```
data_AsPRhAu2
_cell_length_a 3.951
_cell_length_b 4.034
_cell_length_c 6.259
_cell_angle_alpha 84.24
_cell_angle_beta 88.32
_cell_angle_gamma 71.38
_space_group_name_H-M_alt 'P 1'
_space_group_IT_number 1
loop_
_space_group_symop_operation_xyz
'x,y,z'
loop_
_atom_site_label
_atom_site_type_symbol
_atom_site_fract_x
_atom_site_fract_y
_atom_site_fract_z
As1 As 0.000 0.000 0.000
P1 P 0.460 0.576 0.410
Rh1 Rh 0.468 0.097 0.226
Au1 Au 0.384 0.467 0.808
Au2 Au 0.961 0.080 0.556
```

Largest 8 diffraction maxima, most intense first, 2θ from 10° to 90°:
30.1 deg, I 100, (1 1 1)
37.6 deg, I 94, (1 0 2)
27.6 deg, I 87, (1 1 0)
47.8 deg, I 79, (0 1 3)
37.5 deg, I 73, (1 0 -2)
48.7 deg, I 63, (2 0 0)
39.1 deg, I 58, (0 1 -2)
14.2 deg, I 57, (0 0 1)


# 2
This entry pairs a crystal structure of Tb2Pr2ErTm4 with its computed X-ray diffraction stick pattern. Radiation: copper Kα. Structure: a cell relaxed with GGA-PBE.
Neutral-atom scattering factors, no anomalous dispersion.

Cell and atoms:
```
data_Tb2Pr2ErTm4
_cell_length_a 18.606
_cell_length_b 3.588
_cell_length_c 9.532
_cell_angle_alpha 90.00
_cell_angle_beta 115.73
_cell_angle_gamma 90.00
_space_group_name_H-M_alt 'C 1 2/m 1'
_space_group_IT_number 12
loop_
_space_group_symop_operation_xyz
'x,y,z'
'-x,-y,-z'
'-x,y,-z'
'x,-y,z'
'x+1/2,y+1/2,z'
'-x+1/2,-y+1/2,-z'
'-x+1/2,y+1/2,-z'
'x+1/2,-y+1/2,z'
loop_
_atom_site_label
_atom_site_type_symbol
_atom_site_fract_x
_atom_site_fract_y
_atom_site_fract_z
Tb1 Tb 0.147 0.000 0.161
Pr1 Pr 0.165 0.500 0.501
Er1 Er 0.000 0.000 0.500
Tm1 Tm 0.020 0.500 0.835
Tm2 Tm 0.185 0.000 0.838
```

Largest 8 diffraction maxima, most intense first, 2θ from 10° to 90°:
32.0 deg, I 100, (3 1 -2)
33.7 deg, I 94, (3 1 1)
31.3 deg, I 52, (0 0 3)
61.0 deg, I 46, (0 2 3)
51.0 deg, I 40, (0 2 0)
29.0 deg, I 36, (6 0 -1)
58.3 deg, I 21, (3 1 4)
55.0 deg, I 20, (3 1 -5)


# 3
This entry pairs a crystal structure of Pr2YEr2Tm with its computed X-ray diffraction stick pattern. Radiation: copper Kα. Structure: a cell relaxed with GGA-PBE.
Neutral-atom scattering factors, no anomalous dispersion.

Cell and atoms:
```
data_Pr2YEr2Tm
_cell_length_a 5.648
_cell_length_b 9.820
_cell_length_c 7.038
_cell_angle_alpha 90.00
_cell_angle_beta 90.00
_cell_angle_gamma 90.00
_space_group_name_H-M_alt 'P m c 21'
_space_group_IT_number 26
loop_
_space_group_symop_operation_xyz
'x,y,z'
'-x,-y,z+1/2'
'-x,y,z'
'x,-y,z+1/2'
loop_
_atom_site_label
_atom_site_type_symbol
_atom_site_fract_x
_atom_site_fract_y
_atom_site_fract_z
Pr1 Pr 0.000 0.000 0.000
Pr2 Pr 0.500 0.175 0.250
Y1 Y 0.500 0.500 0.499
Er1 Er 0.000 0.334 0.249
Er2 Er 0.500 0.165 0.750
Tm1 Tm 0.000 0.340 0.749
```

Largest 8 diffraction maxima, most intense first, 2θ from 10° to 90°:
31.6 deg, I 100, (2 0 0)
31.3 deg, I 83, (1 1 2)
45.1 deg, I 30, (0 4 2)
62.1 deg, I 29, (2 0 4)
40.9 deg, I 22, (2 0 2)
56.1 deg, I 21, (2 4 2)
56.2 deg, I 17, (0 6 0)
56.4 deg, I 13, (3 3 0)


# 4
This entry pairs a crystal structure of Pm11Dy9Sc4 with its computed X-ray diffraction stick pattern. Radiation: copper Kα. Structure: a cell relaxed with GGA-PBE.
Neutral-atom scattering factors, no anomalous dispersion.

Cell and atoms:
```
data_Pm11Dy9Sc4
_cell_length_a 16.796
_cell_length_b 25.428
_cell_length_c 3.587
_cell_angle_alpha 90.00
_cell_angle_beta 90.00
_cell_angle_gamma 90.00
_space_group_name_H-M_alt 'C m m m'
_space_group_IT_number 65
_space_group_name_Hall '-C 2 2'
loop_
_atom_site_label
_atom_site_type_symbol
_atom_site_fract_x
_atom_site_fract_y
_atom_site_fract_z
Pm1 Pm 0.000 0.000 0.000
Pm2 Pm 0.000 0.160 0.000
Pm3 Pm 0.000 0.371 0.000
Pm4 Pm 0.201 0.500 0.000
Pm5 Pm 0.226 0.180 0.000
Dy1 Dy 0.000 0.500 0.500
Dy2 Dy 0.103 0.269 0.500
Dy3 Dy 0.145 0.072 0.500
Sc1 Sc 0.157 0.398 0.500
```

Largest 8 diffraction maxima, most intense first, 2θ from 10° to 90°:
32.7 deg, I 100, (0 6 1)
30.0 deg, I 85, (4 6 0)
32.8 deg, I 81, (4 0 1)
31.0 deg, I 33, (1 5 1)
31.4 deg, I 31, (3 3 1)
60.2 deg, I 29, (4 6 2)
32.1 deg, I 28, (1 9 0)
30.5 deg, I 27, (2 4 1)


# 5
This entry pairs a crystal structure of BaCdSnAs2 with its computed X-ray diffraction stick pattern. Radiation: copper Kα. Structure: a cell relaxed with GGA-PBE.
Neutral-atom scattering factors, no anomalous dispersion.

Cell and atoms:
```
data_BaCdSnAs2
_cell_length_a 15.615
_cell_length_b 4.393
_cell_length_c 9.266
_cell_angle_alpha 90.00
_cell_angle_beta 107.74
_cell_angle_gamma 90.00
_space_group_name_H-M_alt 'C 1 2/m 1'
_space_group_IT_number 12
loop_
_space_group_symop_operation_xyz
'x,y,z'
'-x,-y,-z'
'-x,y,-z'
'x,-y,z'
'x+1/2,y+1/2,z'
'-x+1/2,-y+1/2,-z'
'-x+1/2,y+1/2,-z'
'x+1/2,-y+1/2,z'
loop_
_atom_site_label
_atom_site_type_symbol
_atom_site_fract_x
_atom_site_fract_y
_atom_site_fract_z
Ba1 Ba 0.210 0.000 0.203
Cd1 Cd 0.028 0.500 0.864
Sn1 Sn 0.093 0.000 0.543
As1 As 0.133 0.500 0.405
As2 As 0.138 0.000 0.838
```

Largest 8 diffraction maxima, most intense first, 2θ from 10° to 90°:
27.0 deg, I 100, (3 1 -1)
30.4 deg, I 80, (0 0 3)
28.8 deg, I 61, (4 0 1)
27.1 deg, I 53, (3 1 0)
41.1 deg, I 50, (0 2 0)
44.6 deg, I 35, (3 1 -4)
35.3 deg, I 35, (5 1 -1)
35.7 deg, I 32, (1 1 -3)